1.
Calculated powder diffraction line list of AcNdSi2Pd2 for Cu Kα (weighted mean of Kα1 and Kα2), from DFT lattice parameters and positions (PBE).
Neutral-atom scattering factors, no anomalous dispersion.

The 10 most intense peaks (10° ≤ 2θ ≤ 90°), in order of rising 2θ:
| 2θ (°) | Rel. int. |
| --- | --- |
| 24.05 | 20 |
| 26.18 | 17 |
| 31.78 | 100 |
| 41.61 | 12 |
| 42.30 | 37 |
| 48.64 | 7 |
| 53.87 | 23 |
| 60.84 | 24 |
| 69.79 | 10 |
| 70.78 | 20 |

Structural model:
```
AcNdSi2Pd2
1.0
4.2729 0.0000 0.0000
-2.1364 3.7004 0.0000
0.0000 0.0000 8.6812
Ac Nd Si Pd
1 1 2 2
Cartesian
0.0000 0.0000 0.0000
0.0000 0.0000 4.3406
0.0000 2.4669 2.2890
2.1364 1.2335 6.3922
0.0000 2.4669 6.4047
2.1364 1.2335 2.2765
```

2.
Calculated powder diffraction line list of NpBeSi2Ir for Cu Kα (weighted mean of Kα1 and Kα2), from DFT lattice parameters and positions (PBE).
Neutral-atom scattering factors, no anomalous dispersion.

The 10 most intense peaks (10° ≤ 2θ ≤ 90°), in order of rising 2θ:
| 2θ (°) | Rel. int. |
| --- | --- |
| 24.45 | 100 |
| 34.94 | 82 |
| 37.05 | 96 |
| 46.64 | 31 |
| 50.27 | 24 |
| 53.35 | 26 |
| 59.59 | 46 |
| 64.12 | 18 |
| 70.99 | 18 |
| 80.14 | 22 |

Structural model:
```
NpBeSi2Ir
1.0
-1.9474 1.9474 5.1281
1.9474 -1.9474 5.1281
1.9474 1.9474 -5.1281
Np Be Si Ir
1 1 2 1
Cartesian
0.0000 0.0000 0.0000
1.9474 0.0000 2.5641
0.0000 0.0000 3.9423
0.0000 0.0000 6.3139
0.0000 1.9474 2.5641
```

3.
Calculated powder diffraction line list of Na3In2Hg8 for Cu Kα (weighted mean of Kα1 and Kα2), from DFT lattice parameters and positions (PBE).
Neutral-atom scattering factors, no anomalous dispersion.

The 10 most intense peaks (10° ≤ 2θ ≤ 90°), in order of rising 2θ:
| 2θ (°) | Rel. int. |
| --- | --- |
| 15.71 | 50 |
| 21.23 | 24 |
| 30.12 | 35 |
| 33.64 | 49 |
| 34.08 | 100 |
| 35.33 | 44 |
| 37.79 | 41 |
| 54.47 | 25 |
| 60.18 | 29 |
| 70.73 | 27 |

Structural model:
```
Na3In2Hg8
1.0
3.0753 1.7755 11.2802
-3.0753 1.7755 11.2802
0.0000 -3.5510 11.2802
Na In Hg
3 2 8
Cartesian
0.0000 0.0000 0.0000
0.0000 0.0000 6.3217
0.0000 0.0000 27.5190
0.0000 0.0000 12.2790
0.0000 0.0000 21.5617
-1.5483 -0.8939 18.9282
0.0000 -1.7878 14.9125
-1.5483 0.8939 14.9125
0.0000 0.0000 9.4116
0.0000 0.0000 24.4291
1.5483 -0.8939 18.9281
0.0000 1.7878 18.9281
1.5483 0.8939 14.9125
```

4.
Calculated powder diffraction line list of Pu2TlF8 for Cu Kα (weighted mean of Kα1 and Kα2), from DFT lattice parameters and positions (PBE).
Neutral-atom scattering factors, no anomalous dispersion.

The 10 most intense peaks (10° ≤ 2θ ≤ 90°), in order of rising 2θ:
| 2θ (°) | Rel. int. |
| --- | --- |
| 19.89 | 24 |
| 23.62 | 55 |
| 25.07 | 67 |
| 25.48 | 61 |
| 26.03 | 41 |
| 26.89 | 100 |
| 37.78 | 42 |
| 45.31 | 54 |
| 47.87 | 27 |
| 50.54 | 27 |

Structural model:
```
Pu2TlF8
1.0
3.5776 -5.6226 0.0000
3.5776 5.6226 0.0000
-0.5311 0.0000 4.4634
Pu Tl F
2 1 8
Cartesian
3.5776 3.6623 0.0000
3.5776 -3.6623 0.0000
3.3121 0.0000 2.2317
0.6244 0.0000 1.1020
1.7421 1.6993 4.1222
3.3121 3.1645 2.2317
1.7421 -1.6993 4.1222
4.8821 1.6993 0.3411
3.3121 -3.1645 2.2317
4.8821 -1.6993 0.3411
5.9998 0.0000 3.3614
```

5.
Calculated powder diffraction line list of TlBi4Pb7 for Cu Kα (weighted mean of Kα1 and Kα2), from DFT lattice parameters and positions (PBE).
Neutral-atom scattering factors, no anomalous dispersion.

The 10 most intense peaks (10° ≤ 2θ ≤ 90°), in order of rising 2θ:
| 2θ (°) | Rel. int. |
| --- | --- |
| 31.46 | 100 |
| 31.81 | 86 |
| 45.35 | 33 |
| 56.02 | 20 |
| 56.24 | 36 |
| 63.36 | 26 |
| 65.68 | 13 |
| 74.83 | 16 |
| 81.13 | 13 |
| 89.59 | 11 |

Structural model:
```
TlBi4Pb7
1.0
5.6866 0.0000 0.0000
-2.8433 4.9247 0.0000
0.0000 0.0000 13.7110
Tl Bi Pb
1 4 7
Cartesian
0.0000 0.0000 0.0000
0.0000 3.2832 1.8123
0.0000 3.2832 5.2457
2.8433 1.6416 8.4653
2.8433 1.6416 11.8987
0.0000 0.0000 3.3793
0.0000 0.0000 6.8555
0.0000 0.0000 10.3318
0.0000 3.2832 8.6145
0.0000 3.2832 12.1045
2.8433 1.6416 1.6066
2.8433 1.6416 5.0966
```

6.
Calculated powder diffraction line list of TiGaRuPt for Cu Kα (weighted mean of Kα1 and Kα2), from DFT lattice parameters and positions (PBE).
Neutral-atom scattering factors, no anomalous dispersion.

The 10 most intense peaks (10° ≤ 2θ ≤ 90°), in order of rising 2θ:
| 2θ (°) | Rel. int. |
| --- | --- |
| 25.13 | 16 |
| 25.68 | 14 |
| 30.67 | 18 |
| 40.42 | 100 |
| 43.93 | 39 |
| 52.78 | 11 |
| 63.87 | 13 |
| 71.03 | 18 |
| 78.36 | 28 |
| 87.40 | 11 |

Structural model:
```
TiGaRuPt
1.0
-2.0612 2.0612 3.4689
2.0612 -2.0612 3.4689
2.0612 2.0612 -3.4689
Ti Ga Ru Pt
1 1 1 1
Cartesian
0.0000 0.0000 0.0000
0.0000 0.0000 3.4689
0.0000 2.0612 1.7344
2.0612 0.0000 1.7344
```

7.
Calculated powder diffraction line list of DyZnInSn for Cu Kα (weighted mean of Kα1 and Kα2), from DFT lattice parameters and positions (PBE).
Neutral-atom scattering factors, no anomalous dispersion.

The 10 most intense peaks (10° ≤ 2θ ≤ 90°), in order of rising 2θ:
| 2θ (°) | Rel. int. |
| --- | --- |
| 34.34 | 100 |
| 38.91 | 18 |
| 40.26 | 16 |
| 40.42 | 16 |
| 57.22 | 11 |
| 57.35 | 11 |
| 67.54 | 14 |
| 69.39 | 13 |
| 69.61 | 13 |
| 72.38 | 11 |

Structural model:
```
DyZnInSn
1.0
4.4634 0.0000 0.0000
0.0000 4.4805 0.0000
0.0000 0.0000 4.6297
Dy Zn In Sn
1 1 1 1
Cartesian
0.0000 0.0000 0.0000
2.2317 0.0000 2.3149
0.0000 2.2403 2.3149
2.2317 2.2403 0.0000
```

8.
Calculated powder diffraction line list of RbMg for Cu Kα (weighted mean of Kα1 and Kα2), from DFT lattice parameters and positions (PBE).
Neutral-atom scattering factors, no anomalous dispersion.

The 10 most intense peaks (10° ≤ 2θ ≤ 90°), in order of rising 2θ:
| 2θ (°) | Rel. int. |
| --- | --- |
| 22.50 | 24 |
| 23.33 | 100 |
| 23.71 | 68 |
| 26.29 | 30 |
| 29.63 | 18 |
| 30.55 | 19 |
| 30.69 | 24 |
| 33.53 | 22 |
| 41.48 | 19 |
| 46.14 | 30 |

Structural model:
```
RbMg
1.0
-2.6724 7.9041 3.7521
2.6724 -7.9041 3.7521
2.6724 7.9041 -3.7521
Rb Mg
3 3
Cartesian
0.0000 0.0000 0.0000
2.6724 3.5239 -1.0646
0.0000 4.3803 2.6875
2.6724 -1.4724 2.9345
2.6724 1.4724 2.9345
0.0000 0.0000 3.6569
```

9.
Calculated powder diffraction line list of HoZnRu for Cu Kα (weighted mean of Kα1 and Kα2), from DFT lattice parameters and positions (PBE).
Neutral-atom scattering factors, no anomalous dispersion.

The 10 most intense peaks (10° ≤ 2θ ≤ 90°), in order of rising 2θ:
| 2θ (°) | Rel. int. |
| --- | --- |
| 34.07 | 63 |
| 35.97 | 100 |
| 40.40 | 19 |
| 40.67 | 12 |
| 42.56 | 18 |
| 45.03 | 29 |
| 45.30 | 15 |
| 58.89 | 15 |
| 65.79 | 21 |
| 77.12 | 13 |

Structural model:
```
HoZnRu
1.0
6.9238 0.0000 0.0000
0.0000 4.0268 0.0000
0.0000 0.0000 8.0478
Ho Zn Ru
4 4 4
Cartesian
0.2027 1.0067 1.4517
3.2592 3.0201 5.4755
3.6646 1.0067 2.5722
6.7211 3.0201 6.5961
0.9999 1.0067 4.5356
2.4620 3.0201 0.5117
4.4618 1.0067 7.5361
5.9239 3.0201 3.5122
1.6188 3.0201 3.0000
1.8431 1.0067 7.0239
5.0807 3.0201 1.0239
5.3050 1.0067 5.0478
```

10.
Calculated powder diffraction line list of PmPr12Tm5 for Cu Kα (weighted mean of Kα1 and Kα2), from DFT lattice parameters and positions (PBE).
Neutral-atom scattering factors, no anomalous dispersion.

The 10 most intense peaks (10° ≤ 2θ ≤ 90°), in order of rising 2θ:
| 2θ (°) | Rel. int. |
| --- | --- |
| 29.97 | 100 |
| 34.65 | 34 |
| 34.93 | 17 |
| 49.82 | 12 |
| 50.02 | 24 |
| 59.23 | 29 |
| 59.60 | 14 |
| 62.28 | 12 |
| 80.98 | 6 |
| 81.30 | 12 |

Structural model:
```
PmPr12Tm5
1.0
7.7068 -7.7658 0.0000
7.7068 7.7658 0.0000
0.0000 0.0000 5.1775
Pm Pr Tm
1 12 5
Cartesian
0.0000 0.0000 0.0000
5.1657 5.1691 0.0000
2.5592 0.0000 2.5887
5.1843 2.5865 2.5887
10.2478 5.1691 0.0000
5.1965 0.0000 0.0000
10.2292 2.5865 2.5887
5.1843 -2.5865 2.5887
10.2171 0.0000 0.0000
5.1657 -5.1691 0.0000
10.2292 -2.5865 2.5887
12.8544 0.0000 2.5887
10.2478 -5.1691 0.0000
7.7068 5.1641 2.5887
7.7068 2.5952 0.0000
7.7068 0.0000 2.5887
7.7068 -2.5952 0.0000
7.7068 -5.1641 2.5887
```

11.
Calculated powder diffraction line list of CsRe2GeO8 for Cu Kα (weighted mean of Kα1 and Kα2), from DFT lattice parameters and positions (PBE).
Neutral-atom scattering factors, no anomalous dispersion.

The 10 most intense peaks (10° ≤ 2θ ≤ 90°), in order of rising 2θ:
| 2θ (°) | Rel. int. |
| --- | --- |
| 19.58 | 15 |
| 22.36 | 100 |
| 31.21 | 29 |
| 32.45 | 36 |
| 39.77 | 19 |
| 45.64 | 12 |
| 50.56 | 14 |
| 52.23 | 19 |
| 57.11 | 11 |
| 57.89 | 10 |

Structural model:
```
CsRe2GeO8
1.0
2.7591 1.5930 9.5498
-2.7591 1.5930 9.5498
0.0000 -3.1859 9.5498
Cs Re Ge O
1 2 1 8
Cartesian
0.0000 0.0000 0.0000
0.0000 0.0000 6.8459
0.0000 0.0000 21.8036
0.0000 0.0000 14.3247
-1.0873 -1.4107 12.8476
-0.6781 -1.6470 15.8019
0.0000 0.0000 8.6144
-0.6781 1.6470 12.8476
-1.0873 1.4107 15.8019
0.0000 0.0000 20.0351
1.7654 -0.2363 12.8476
1.7654 0.2363 15.8019
```

12.
Calculated powder diffraction line list of Te6Cl for Cu Kα (weighted mean of Kα1 and Kα2), from DFT lattice parameters and positions (PBE).
Neutral-atom scattering factors, no anomalous dispersion.

The 10 most intense peaks (10° ≤ 2θ ≤ 90°), in order of rising 2θ:
| 2θ (°) | Rel. int. |
| --- | --- |
| 14.47 | 98 |
| 20.52 | 42 |
| 25.20 | 100 |
| 32.71 | 28 |
| 35.93 | 81 |
| 38.93 | 62 |
| 41.73 | 48 |
| 54.01 | 21 |
| 60.49 | 31 |
| 72.41 | 31 |

Structural model:
```
Te6Cl
1.0
-4.3286 4.3286 4.3286
4.3286 -4.3286 4.3286
4.3286 4.3286 -4.3286
Te Cl
6 1
Cartesian
4.3286 2.1643 0.0000
4.3286 0.0000 2.1643
2.1643 4.3286 0.0000
2.1643 0.0000 4.3286
0.0000 4.3286 2.1643
0.0000 2.1643 4.3286
0.0000 0.0000 0.0000
```

13.
Calculated powder diffraction line list of Sr2Mg6Hg9 for Cu Kα (weighted mean of Kα1 and Kα2), from DFT lattice parameters and positions (PBE).
Neutral-atom scattering factors, no anomalous dispersion.

The 10 most intense peaks (10° ≤ 2θ ≤ 90°), in order of rising 2θ:
| 2θ (°) | Rel. int. |
| --- | --- |
| 15.97 | 36 |
| 19.86 | 62 |
| 25.59 | 47 |
| 32.27 | 97 |
| 34.45 | 39 |
| 38.18 | 100 |
| 40.36 | 22 |
| 52.59 | 50 |
| 57.55 | 24 |
| 72.63 | 24 |

Structural model:
```
Sr2Mg6Hg9
1.0
6.4063 0.0000 0.0000
-3.2031 5.5480 0.0000
0.0000 0.0000 13.4087
Sr Mg Hg
2 6 9
Cartesian
0.0000 0.0000 2.1696
0.0000 0.0000 11.2391
0.0000 3.6987 2.1885
0.0000 3.6987 6.7043
0.0000 3.6987 11.2202
3.2031 1.8493 2.1885
3.2031 1.8493 6.7043
3.2031 1.8493 11.2202
-1.6016 2.7740 0.0000
-1.6016 2.7740 4.4486
-1.6016 2.7740 8.9601
3.2031 0.0000 0.0000
3.2031 0.0000 4.4486
3.2031 0.0000 8.9601
1.6016 2.7740 0.0000
1.6016 2.7740 4.4486
1.6016 2.7740 8.9601
```

14.
Calculated powder diffraction line list of Ac2Cd6Hg for Cu Kα (weighted mean of Kα1 and Kα2), from DFT lattice parameters and positions (PBE).
Neutral-atom scattering factors, no anomalous dispersion.

The 10 most intense peaks (10° ≤ 2θ ≤ 90°), in order of rising 2θ:
| 2θ (°) | Rel. int. |
| --- | --- |
| 27.17 | 25 |
| 30.45 | 63 |
| 31.52 | 78 |
| 34.38 | 100 |
| 42.08 | 20 |
| 44.42 | 22 |
| 50.13 | 27 |
| 50.81 | 24 |
| 56.02 | 30 |
| 60.43 | 24 |

Structural model:
```
Ac2Cd6Hg
1.0
6.5666 0.0000 0.0000
-3.2833 5.6868 0.0000
0.0000 0.0000 6.5497
Ac Cd Hg
2 6 1
Cartesian
0.0000 3.7912 0.9858
3.2833 1.8956 5.5638
0.0000 2.0210 4.3440
-1.5330 4.6763 4.3440
1.7503 1.0105 2.2057
1.5330 4.6763 4.3440
4.8163 1.0105 2.2057
3.2833 3.6658 2.2057
0.0000 0.0000 0.0000
```